[1]
For Y2TaCoSi2, a crystal structure in OQMD, relaxed with GGA-PBE gives the calculated X-ray powder pattern in this record (Cu Kα).

Peak list (10 most intense, 10° ≤ 2θ ≤ 80°, low angle first)
11.93 deg, d = 7.416 Å, intensity 60, (0 0 1)
25.69 deg, d = 3.468 Å, intensity 42, (1 0 1)
33.25 deg, d = 2.695 Å, intensity 48, (1 0 2)
34.52 deg, d = 2.598 Å, intensity 100, (1 1 1)
36.34 deg, d = 2.472 Å, intensity 30, (0 0 3)
40.62 deg, d = 2.221 Å, intensity 74, (1 1 2)
46.28 deg, d = 1.962 Å, intensity 45, (2 0 0)
58.17 deg, d = 1.586 Å, intensity 19, (2 1 2)
60.23 deg, d = 1.537 Å, intensity 27, (2 0 3)
67.52 deg, d = 1.387 Å, intensity 22, (2 2 0)

Cell and atoms:
Lattice parameters (Å, degrees): 3.923 3.923 7.416 90.00 90.00 90.00
Sites, in units of the cell vectors:
Y  0.000  0.500  0.155
Y  0.500  0.000  0.845
Ta  0.000  0.000  0.500
Co  0.500  0.500  0.500
Si  0.000  0.500  0.724
Si  0.500  0.000  0.276


[2]
For CsTa8, a crystal structure in OQMD, relaxed with GGA-PBE gives the calculated X-ray powder pattern in this record (Cu Kα).

Peak list (10 most intense, 10° ≤ 2θ ≤ 80°, low angle first)
21.47 deg, d = 4.139 Å, intensity 60, (2 0 0)
31.58 deg, d = 2.833 Å, intensity 39, (0 0 1)
37.65 deg, d = 2.389 Å, intensity 100, (2 2 0)
38.51 deg, d = 2.338 Å, intensity 57, (2 0 1)
49.93 deg, d = 1.827 Å, intensity 62, (2 2 1)
54.95 deg, d = 1.671 Å, intensity 19, (4 0 1)
67.95 deg, d = 1.380 Å, intensity 16, (6 0 0)
68.52 deg, d = 1.369 Å, intensity 20, (4 2 1)
76.86 deg, d = 1.240 Å, intensity 16, (6 0 1)
78.49 deg, d = 1.219 Å, intensity 24, (2 2 2)

Cell and atoms:
Lattice parameters (Å, degrees): 9.558 9.558 2.833 90.00 90.00 120.00
Sites, in units of the cell vectors:
Cs  0.000  0.000  0.000
Ta  0.176  0.351  0.500
Ta  0.176  0.824  0.500
Ta  0.333  0.667  0.500
Ta  0.351  0.176  0.500
Ta  0.649  0.824  0.500
Ta  0.667  0.333  0.500
Ta  0.824  0.176  0.500
Ta  0.824  0.649  0.500


[3]
For LuAuSeO, a crystal structure in OQMD, relaxed with GGA-PBE gives the calculated X-ray powder pattern in this record (Cu Kα).

Peak list (10 most intense, 10° ≤ 2θ ≤ 80°, low angle first)
18.42 deg, d = 4.817 Å, intensity 59, (0 0 2)
27.78 deg, d = 3.211 Å, intensity 40, (0 0 3)
29.66 deg, d = 3.012 Å, intensity 100, (1 1 2)
32.40 deg, d = 2.764 Å, intensity 51, (0 2 0)
34.55 deg, d = 2.596 Å, intensity 80, (2 0 1)
36.40 deg, d = 2.469 Å, intensity 75, (1 1 3)
37.75 deg, d = 2.383 Å, intensity 47, (1 2 1)
38.26 deg, d = 2.352 Å, intensity 45, (2 0 2)
41.21 deg, d = 2.190 Å, intensity 37, (1 2 2)
47.15 deg, d = 1.928 Å, intensity 44, (0 0 5)

Cell and atoms:
Lattice parameters (Å, degrees): 5.391 5.527 9.634 90.00 90.00 90.00
Sites, in units of the cell vectors:
Lu  0.000  0.000  0.000
Lu  0.000  0.500  0.221
Lu  0.500  0.000  0.221
Lu  0.500  0.500  0.000
Au  0.249  0.406  0.611
Au  0.251  0.906  0.611
Au  0.749  0.094  0.611
Au  0.751  0.594  0.611
Se  0.000  0.000  0.387
Se  0.000  0.500  0.836
Se  0.500  0.000  0.836
Se  0.500  0.500  0.387
O  0.250  0.252  0.111
O  0.250  0.752  0.111
O  0.750  0.248  0.111
O  0.750  0.748  0.111


What is the formula in the third record?
LuAuSeO